Starting from a structure optimized by DFT (GGA+U), the powder diffractogram of TlMoO3F was simulated for Cu Kα, 1.54184 Å.
Lines closer than 0.1° are merged.

Peak list (10 most intense, 10 to 90 degrees two-theta, by intensity)
| 2θ/deg | d [Å] | intensity |
| --- | --- | --- |
| 18.08 | 4.906 | 100.0 |
| 27.03 | 3.298 | 52.4 |
| 27.62 | 3.229 | 49.4 |
| 21.80 | 4.077 | 34.9 |
| 23.73 | 3.749 | 26.8 |
| 32.91 | 2.721 | 25.2 |
| 24.40 | 3.648 | 25.2 |
| 40.29 | 2.238 | 22.5 |
| 34.40 | 2.607 | 22.4 |
| 17.60 | 5.040 | 20.8 |

Crystal structure
Cell: 10.1522 10.1522 5.4446 Å, 90.42 90.42 150.22°
Sites, in units of the cell vectors:
Tl 0.2325 0.7675 0.7500
Tl 0.7675 0.2325 0.2500
Mo 0.4695 0.5305 0.2500
Mo 0.5305 0.4695 0.7500
O 0.2614 0.2607 0.4925
O 0.2607 0.2614 0.9925
O 0.3824 0.6176 0.2500
O 0.6176 0.3824 0.7500
O 0.7393 0.7386 0.0075
O 0.7386 0.7393 0.5075
F 0.2240 0.7760 0.2500
F 0.7760 0.2240 0.7500